This entry pairs a crystal structure of La2PuZrN5 with its theoretical powder XRD pattern. Radiation: a wavelength of 1.5418 Å. Structure: the GGA-PBE geometry in Alexandria.
Lines closer than 0.1° are merged.

Top 12 peaks for 15 to 90 degrees two-theta, by angle:
4.373 Å, 20.31 deg, rel. 18; 3.278 Å, 27.20 deg, rel. 43; 2.996 Å, 29.82 deg, rel. 65; 2.909 Å, 30.74 deg, rel. 100; 2.829 Å, 31.63 deg, rel. 55; 2.770 Å, 32.32 deg, rel. 23; 2.741 Å, 32.67 deg, rel. 33; 2.509 Å, 35.80 deg, rel. 25; 2.322 Å, 38.78 deg, rel. 28; 1.979 Å, 45.85 deg, rel. 18; 1.900 Å, 47.89 deg, rel. 20; 1.760 Å, 51.95 deg, rel. 22

Atomic structure:
abc: 3.521 14.249 11.078
angles: 90.00 90.00 90.00
Space group Cmc2_1 (No. 36)
Symmetry-distinct sites (fractional):
La1 0.000 0.109 0.000 (multiplicity 4)
La2 0.000 0.144 0.593 (multiplicity 4)
Pu1 0.000 0.469 0.771 (multiplicity 4)
Zr1 0.000 0.226 0.321 (multiplicity 4)
N1 0.000 0.064 0.373 (multiplicity 4)
N2 0.000 0.274 0.964 (multiplicity 4)
N3 0.000 0.317 0.705 (multiplicity 4)
N4 0.000 0.374 0.313 (multiplicity 4)
N5 0.000 0.494 0.092 (multiplicity 4)

---

This entry pairs a crystal structure of RbLaReN4 with its theoretical powder XRD pattern. Radiation: a wavelength of 1.5418 Å. Structure: the GGA-PBE geometry in Alexandria.
Lines closer than 0.1° are merged.

Top 12 peaks for 15 to 90 degrees two-theta, by angle:
4.810 Å, 18.45 deg, rel. 66; 4.439 Å, 20.00 deg, rel. 40; 3.302 Å, 27.00 deg, rel. 100; 3.174 Å, 28.12 deg, rel. 31; 3.126 Å, 28.55 deg, rel. 45; 3.040 Å, 29.38 deg, rel. 61; 2.800 Å, 31.96 deg, rel. 43; 2.718 Å, 32.95 deg, rel. 21; 2.516 Å, 35.69 deg, rel. 50; 2.179 Å, 41.43 deg, rel. 40; 2.107 Å, 42.91 deg, rel. 23; 2.085 Å, 43.41 deg, rel. 27

Atomic structure:
abc: 6.411 6.080 8.065
angles: 90.00 102.80 90.00
Space group P2_1/m (No. 11)
Symmetry-distinct sites (fractional):
Rb1 0.195 0.250 0.414 (multiplicity 2)
La1 0.281 0.250 0.936 (multiplicity 2)
Re1 0.242 0.750 0.153 (multiplicity 2)
N1 0.059 0.750 0.299 (multiplicity 2)
N2 0.063 0.750 0.944 (multiplicity 2)
N3 0.423 0.513 0.167 (multiplicity 4)

---

This entry pairs a crystal structure of LaRe3N8 with its theoretical powder XRD pattern. Radiation: a wavelength of 1.5418 Å. Structure: the GGA-PBE geometry in Alexandria.
Lines closer than 0.1° are merged.

Top 12 peaks for 15 to 90 degrees two-theta, by angle:
4.952 Å, 17.91 deg, rel. 15; 3.972 Å, 22.38 deg, rel. 100; 2.859 Å, 31.29 deg, rel. 87; 2.760 Å, 32.43 deg, rel. 76; 2.023 Å, 44.80 deg, rel. 14; 1.986 Å, 45.69 deg, rel. 36; 1.802 Å, 50.67 deg, rel. 23; 1.651 Å, 55.67 deg, rel. 24; 1.631 Å, 56.41 deg, rel. 34; 1.437 Å, 64.88 deg, rel. 21; 1.430 Å, 65.26 deg, rel. 23; 1.269 Å, 74.79 deg, rel. 15

Atomic structure:
abc: 5.7182 5.7182 6.6497
angles: 90.00 90.00 120.00
Space group P-3m1 (No. 164)
Symmetry-distinct sites (fractional):
La1 0.0000 0.0000 0.0000 (multiplicity 1)
Re1 0.0000 0.0000 0.5000 (multiplicity 1)
Re2 0.3333 0.6667 0.7660 (multiplicity 2)
N1 0.1564 0.3128 0.6808 (multiplicity 6)
N2 0.3333 0.6667 0.0298 (multiplicity 2)

---

This entry pairs a crystal structure of La4Re3N10 with its theoretical powder XRD pattern. Radiation: a wavelength of 1.5418 Å. Structure: the GGA-PBE geometry in Alexandria.
Lines closer than 0.1° are merged.

Top 12 peaks for 15 to 90 degrees two-theta, by angle:
2.842 Å, 31.48 deg, rel. 100; 2.808 Å, 31.87 deg, rel. 56; 2.475 Å, 36.30 deg, rel. 5; 2.034 Å, 44.55 deg, rel. 11; 1.986 Å, 45.69 deg, rel. 27; 1.647 Å, 55.81 deg, rel. 17; 1.628 Å, 56.54 deg, rel. 39; 1.421 Å, 65.72 deg, rel. 13; 1.404 Å, 66.60 deg, rel. 8; 1.259 Å, 75.53 deg, rel. 8; 1.256 Å, 75.73 deg, rel. 9; 1.156 Å, 83.70 deg, rel. 7

Atomic structure:
abc: 3.972 3.972 28.473
angles: 90.00 90.00 90.00
Space group I4/mmm (No. 139)
Symmetry-distinct sites (fractional):
La1 0.000 0.000 0.068 (multiplicity 4)
La2 0.000 0.000 0.203 (multiplicity 4)
Re1 0.000 0.000 0.361 (multiplicity 4)
Re2 0.000 0.000 0.500 (multiplicity 2)
N1 0.000 0.000 0.288 (multiplicity 4)
N2 0.000 0.000 0.430 (multiplicity 4)
N3 0.000 0.500 0.000 (multiplicity 4)
N4 0.000 0.500 0.140 (multiplicity 8)

---

This entry pairs a crystal structure of LaRe4N8 with its theoretical powder XRD pattern. Radiation: a wavelength of 1.5418 Å. Structure: the GGA-PBE geometry in Alexandria.
Lines closer than 0.1° are merged.

Top 12 peaks for 15 to 90 degrees two-theta, by angle:
5.219 Å, 16.99 deg, rel. 59; 4.693 Å, 18.91 deg, rel. 67; 2.756 Å, 32.49 deg, rel. 49; 2.669 Å, 33.58 deg, rel. 18; 2.610 Å, 34.36 deg, rel. 100; 2.346 Å, 38.36 deg, rel. 25; 2.196 Å, 41.10 deg, rel. 96; 1.989 Å, 45.61 deg, rel. 18; 1.622 Å, 56.74 deg, rel. 36; 1.533 Å, 60.37 deg, rel. 18; 1.491 Å, 62.25 deg, rel. 27; 1.334 Å, 70.58 deg, rel. 28

Atomic structure:
abc: 6.4894 6.4894 14.0783
angles: 90.00 90.00 120.00
Space group R-3m (No. 166, hexagonal axes)
Symmetry-distinct sites (fractional):
La1 0.0000 0.0000 0.0000 (multiplicity 3)
Re1 0.0000 0.0000 0.5000 (multiplicity 3)
Re2 0.0000 0.5000 0.0000 (multiplicity 9)
N1 0.0000 0.0000 0.2676 (multiplicity 6)
N2 0.0454 0.5227 0.2533 (multiplicity 18)

---

This entry pairs a crystal structure of LaTb2ReN4 with its theoretical powder XRD pattern. Radiation: a wavelength of 1.5418 Å. Structure: the GGA-PBE geometry in Alexandria.
Lines closer than 0.1° are merged.

Top 12 peaks for 15 to 90 degrees two-theta, by angle:
5.318 Å, 16.67 deg, rel. 25; 2.982 Å, 29.97 deg, rel. 45; 2.971 Å, 30.08 deg, rel. 36; 2.928 Å, 30.53 deg, rel. 100; 2.883 Å, 31.02 deg, rel. 26; 2.565 Å, 34.98 deg, rel. 53; 2.402 Å, 37.44 deg, rel. 75; 2.214 Å, 40.76 deg, rel. 21; 1.764 Å, 51.83 deg, rel. 48; 1.752 Å, 52.20 deg, rel. 19; 1.510 Å, 61.40 deg, rel. 22; 1.287 Å, 73.58 deg, rel. 23

Atomic structure:
abc: 3.504 11.883 11.926
angles: 90.00 90.00 90.00
Space group Cmcm (No. 63)
Symmetry-distinct sites (fractional):
La1 0.000 0.086 0.250 (multiplicity 4)
Tb1 0.000 0.370 0.041 (multiplicity 8)
Re1 0.000 0.169 0.750 (multiplicity 4)
N1 0.000 0.000 0.000 (multiplicity 4)
N2 0.000 0.262 0.619 (multiplicity 8)
N3 0.000 0.421 0.250 (multiplicity 4)

---

This entry pairs a crystal structure of LaRu2N2 with its theoretical powder XRD pattern. Radiation: a wavelength of 1.5418 Å. Structure: the GGA-PBE geometry in Alexandria.
Lines closer than 0.1° are merged.

Top 12 peaks for 15 to 90 degrees two-theta, by angle:
2.847 Å, 31.42 deg, rel. 80; 2.352 Å, 38.27 deg, rel. 6; 2.288 Å, 39.37 deg, rel. 100; 2.013 Å, 45.03 deg, rel. 40; 1.542 Å, 60.01 deg, rel. 2; 1.512 Å, 61.33 deg, rel. 53; 1.424 Å, 65.58 deg, rel. 12; 1.391 Å, 67.33 deg, rel. 4; 1.273 Å, 74.53 deg, rel. 14; 1.250 Å, 76.18 deg, rel. 15; 1.209 Å, 79.25 deg, rel. 13; 1.144 Å, 84.71 deg, rel. 9

Atomic structure:
abc: 4.026 4.026 8.344
angles: 90.00 90.00 90.00
Space group I4/mmm (No. 139)
Symmetry-distinct sites (fractional):
La1 0.000 0.000 0.000 (multiplicity 2)
Ru1 0.000 0.000 0.342 (multiplicity 4)
N1 0.000 0.500 0.250 (multiplicity 4)

---

This entry pairs a crystal structure of LaSiRu2N with its theoretical powder XRD pattern. Radiation: a wavelength of 1.5418 Å. Structure: the GGA-PBE geometry in Alexandria.
Lines closer than 0.1° are merged.

Top 12 peaks for 15 to 90 degrees two-theta, by angle:
3.271 Å, 27.26 deg, rel. 19; 3.038 Å, 29.40 deg, rel. 32; 2.716 Å, 32.98 deg, rel. 77; 2.650 Å, 33.83 deg, rel. 42; 2.568 Å, 34.94 deg, rel. 100; 2.540 Å, 35.33 deg, rel. 35; 2.206 Å, 40.90 deg, rel. 31; 2.005 Å, 45.22 deg, rel. 17; 1.941 Å, 46.81 deg, rel. 30; 1.795 Å, 50.87 deg, rel. 18; 1.566 Å, 58.99 deg, rel. 17; 1.519 Å, 60.98 deg, rel. 28

Atomic structure:
abc: 3.882 11.405 7.178
angles: 90.00 90.00 90.00
Space group Cmcm (No. 63)
Symmetry-distinct sites (fractional):
La1 0.000 0.049 0.250 (multiplicity 4)
Si1 0.000 0.227 0.750 (multiplicity 4)
Ru1 0.000 0.336 0.055 (multiplicity 8)
N1 0.000 0.500 0.000 (multiplicity 4)

---

This entry pairs a crystal structure of La2ThRuN4 with its theoretical powder XRD pattern. Radiation: a wavelength of 1.5418 Å. Structure: the GGA-PBE geometry in Alexandria.
Lines closer than 0.1° are merged.

Top 12 peaks for 15 to 90 degrees two-theta, by angle:
3.380 Å, 26.37 deg, rel. 63; 3.046 Å, 29.33 deg, rel. 96; 2.932 Å, 30.49 deg, rel. 100; 2.581 Å, 34.75 deg, rel. 42; 2.423 Å, 37.10 deg, rel. 75; 2.154 Å, 41.95 deg, rel. 22; 1.970 Å, 46.07 deg, rel. 21; 1.896 Å, 47.98 deg, rel. 27; 1.791 Å, 50.98 deg, rel. 33; 1.739 Å, 52.64 deg, rel. 22; 1.546 Å, 59.81 deg, rel. 15; 1.510 Å, 61.39 deg, rel. 31

Atomic structure:
abc: 3.478 12.177 12.190
angles: 90.00 90.00 90.00
Space group Cmcm (No. 63)
Symmetry-distinct sites (fractional):
La1 0.000 0.131 0.051 (multiplicity 8)
Th1 0.000 0.392 0.250 (multiplicity 4)
Ru1 0.000 0.346 0.750 (multiplicity 4)
N1 0.000 0.044 0.250 (multiplicity 4)
N2 0.000 0.216 0.642 (multiplicity 8)
N3 0.000 0.500 0.000 (multiplicity 4)

---

This entry pairs a crystal structure of LaY2RuN4 with its theoretical powder XRD pattern. Radiation: a wavelength of 1.5418 Å. Structure: the GGA-PBE geometry in Alexandria.
Lines closer than 0.1° are merged.

Top 12 peaks for 15 to 90 degrees two-theta, by angle:
5.843 Å, 15.16 deg, rel. 16; 3.249 Å, 27.45 deg, rel. 27; 2.944 Å, 30.36 deg, rel. 57; 2.922 Å, 30.60 deg, rel. 46; 2.894 Å, 30.90 deg, rel. 100; 2.539 Å, 35.35 deg, rel. 23; 2.376 Å, 37.86 deg, rel. 95; 2.074 Å, 43.65 deg, rel. 32; 1.849 Å, 49.28 deg, rel. 23; 1.737 Å, 52.68 deg, rel. 32; 1.496 Å, 62.04 deg, rel. 16; 1.466 Å, 63.47 deg, rel. 16

Atomic structure:
abc: 3.473 11.776 11.687
angles: 90.00 90.00 90.00
Space group Cmcm (No. 63)
Symmetry-distinct sites (fractional):
La1 0.000 0.114 0.250 (multiplicity 4)
Y1 0.000 0.369 0.043 (multiplicity 8)
Ru1 0.000 0.148 0.750 (multiplicity 4)
N1 0.000 0.000 0.000 (multiplicity 4)
N2 0.000 0.266 0.626 (multiplicity 8)
N3 0.000 0.436 0.250 (multiplicity 4)